Theoretical powder X-ray diffraction pattern
Compound: Cs2MgH8C4O12
Radiation: Cu Kα, 1.54184 Å
Structure: a cell relaxed with GGA-PBE
Neutral-atom scattering factors, no anomalous dispersion.

Top 6 peaks for 2θ = 10–80°, most intense first:
- 17.9°, intensity 100
- 27.0°, intensity 70
- 28.5°, intensity 56
- 23.0°, intensity 56
- 30.9°, intensity 53
- 42.8°, intensity 52

Crystal structure
Lattice parameters (Å, degrees): 17.4782 7.4825 13.8261 90.00 129.20 90.00
Space group C2/c (No. 15)
Unique sites:
Cs 0.2029 0.0658 0.1020
Mg 0.0000 0.4240 0.7500
H 0.0547 0.2314 0.6380
H 0.0897 0.1146 0.7590
H 0.0992 0.1801 0.2828
H 0.2017 0.0841 0.3606
C 0.0173 0.3316 0.4265
C 0.1206 0.4269 0.4989
O 0.0034 0.2230 0.4831
O 0.0452 0.3724 0.1894
O 0.0718 0.2384 0.7217
O 0.1256 0.4514 0.9384
O 0.1346 0.0741 0.3371
O 0.1902 0.3744 0.6079

Theoretical powder X-ray diffraction pattern
Compound: CsH3CN2O
Radiation: Cu Kα, 1.54184 Å
Structure: a cell relaxed with GGA-PBE
Neutral-atom scattering factors, no anomalous dispersion.

Top 6 peaks for 2θ = 10–80°, most intense first:
- 23.6°, intensity 100
- 29.8°, intensity 65
- 22.8°, intensity 63
- 31.6°, intensity 54
- 18.3°, intensity 54
- 16.6°, intensity 42

Crystal structure
Lattice parameters (Å, degrees): 6.5268 7.2527 9.2537 90.00 90.00 90.00
Space group P2_12_12_1 (No. 19)
Unique sites:
Cs 0.1594 0.0728 0.1321
H 0.0507 0.3233 0.6385
H 0.1770 0.2424 0.4314
H 0.1835 0.4931 0.7419
C 0.1784 0.5758 0.0452
N 0.1794 0.4036 0.6556
N 0.1964 0.6740 0.9227
O 0.0285 0.4631 0.0672

Theoretical powder X-ray diffraction pattern
Compound: CsHCO3
Radiation: Cu Kα, 1.54184 Å
Structure: a cell relaxed with GGA-PBE
Neutral-atom scattering factors, no anomalous dispersion.

Top 6 peaks for 2θ = 10–80°, most intense first:
- 23.1°, intensity 100
- 25.0°, intensity 81
- 23.2°, intensity 61
- 25.6°, intensity 50
- 28.2°, intensity 48
- 26.2°, intensity 48

Crystal structure
Lattice parameters (Å, degrees): 4.4707 13.6074 8.0053 90.00 115.89 90.00
Space group P2_1/c (No. 14)
Unique sites:
Cs 0.1930 0.1456 0.1028
H 0.0012 0.0648 0.4247
C 0.2834 0.0935 0.6903
O 0.1443 0.1211 0.5080
O 0.2193 0.0068 0.7300
O 0.4624 0.1565 0.8066

Theoretical powder X-ray diffraction pattern
Compound: CsHCO2
Radiation: Cu Kα, 1.54184 Å
Structure: a cell relaxed with GGA-PBE
Neutral-atom scattering factors, no anomalous dispersion.

Top 6 peaks for 2θ = 10–80°, most intense first:
- 28.7°, intensity 100
- 34.1°, intensity 100
- 18.2°, intensity 85
- 28.5°, intensity 85
- 18.0°, intensity 73
- 25.7°, intensity 69

Crystal structure
Lattice parameters (Å, degrees): 4.9271 9.7575 8.0915 90.00 90.00 90.00
Space group Pbcm (No. 57)
Unique sites:
Cs 0.0655 0.2500 0.0000
H 0.4410 0.5227 0.2500
C 0.3849 0.5516 0.7500
O 0.1481 0.9998 0.2500
O 0.4467 0.6780 0.7500